Diffraction record for KPrHO3. The powder XRD pattern is theoretical, not measured: it uses a cell relaxed with PBE and Cu Kα, 1.54184 Å.

Structural model:
a b c (Å): 4.455 6.361 6.918
angles (deg): 67.20 74.03 89.82
Space group P-1 (No. 2)
Inequivalent atoms, fractional coordinates:
K 0.173 0.348 0.159 x2
Pr 0.498 0.797 0.329 x2
H 0.114 0.889 0.102 x2
O 0.030 0.107 0.602 x2
O 0.269 0.831 0.009 x2
O 0.382 0.538 0.695 x2

Top 12 peaks for 2θ = 15–90°, low angle first:
2theta  Rel. int.  hkl
16.29  49  0 1 1
20.89  90  1 0 0
24.46  62  1 1 1
25.05  62  0 1 -1
27.04  63  0 1 2
28.15  72  0 2 1
28.55  100  -1 1 1
29.74  64  1 1 2
30.70  39  0 2 0
35.79  45  -1 2 1
38.48  40  0 1 -2
43.33  43  1 0 3